(1)
Diffraction record for Li2CrFe3O8. The powder XRD pattern is computed, not measured: it uses a crystal structure in the Materials Project, relaxed with GGA+U and CuKα.
Kinematic intensities with the Lorentz-polarization factor, no thermal factor.

Largest 6 diffraction maxima, in order of falling intensity, 2θ from 10° to 90°:
d/Å	intensity
4.867	100
2.113	38
2.546	32
1.488	22
2.096	18
2.532	16

Crystal structure
```
Li2CrFe3O8
1.0
5.9677 -5.9836 0.0000
5.9677 5.9836 0.0000
0.0000 0.0000 8.3857
Li Cr Fe O
8 4 12 32
Direct
0.0006 0.2482 0.3788 Li
0.2482 0.0006 0.6212 Li
0.2506 0.5009 0.1227 Li
0.4991 0.7494 0.3773 Li
0.5009 0.2506 0.8773 Li
0.7494 0.4991 0.6227 Li
0.7518 0.9994 0.1212 Li
0.9994 0.7518 0.8788 Li
0.1237 0.8763 0.2500 Cr
0.3732 0.3732 0.5000 Cr
0.6268 0.6268 0.0000 Cr
0.8763 0.1237 0.7500 Cr
0.1233 0.1233 0.0000 Fe
0.1251 0.3748 0.7475 Fe
0.1263 0.6252 0.5005 Fe
0.3743 0.6257 0.7500 Fe
0.3748 0.1251 0.2525 Fe
0.3748 0.8737 0.9995 Fe
0.6252 0.1263 0.4995 Fe
0.6252 0.8749 0.7525 Fe
0.6257 0.3743 0.2500 Fe
0.8737 0.3748 0.0005 Fe
0.8749 0.6252 0.2475 Fe
0.8767 0.8767 0.5000 Fe
0.1100 0.8639 0.4855 O
0.1112 0.6399 0.2593 O
0.1118 0.1349 0.7601 O
0.1144 0.3636 0.9806 O
0.1329 0.3838 0.5186 O
0.1336 0.6135 0.7394 O
0.1349 0.1118 0.2399 O
0.1361 0.8900 0.0145 O
0.3588 0.3853 0.7388 O
0.3590 0.6102 0.5098 O
0.3601 0.8888 0.2407 O
0.3636 0.1144 0.0194 O
0.3838 0.1329 0.4814 O
0.3853 0.3588 0.2612 O
0.3865 0.8664 0.7606 O
0.3898 0.6410 0.9902 O
0.6102 0.3590 0.4902 O
0.6135 0.1336 0.2606 O
0.6147 0.6412 0.7612 O
0.6162 0.8671 0.9814 O
0.6364 0.8856 0.5194 O
0.6399 0.1112 0.7407 O
0.6410 0.3898 0.0098 O
0.6412 0.6147 0.2388 O
0.8639 0.1100 0.5145 O
0.8651 0.8882 0.7399 O
0.8664 0.3865 0.2394 O
0.8671 0.6162 0.0186 O
0.8856 0.6364 0.4806 O
0.8882 0.8651 0.2601 O
0.8888 0.3601 0.7593 O
0.8900 0.1361 0.9855 O
```


(2)
Diffraction record for Li2MnCo2O6. The powder XRD pattern is computed, not measured: it uses a crystal structure in the Materials Project, relaxed with GGA+U and CuKα.
Kinematic intensities with the Lorentz-polarization factor, no thermal factor.

Largest 6 diffraction maxima, in order of falling intensity, 2θ from 10° to 90°:
d/Å	intensity
5.038	100
2.027	34
2.465	30
1.579	18
2.292	17
1.464	16

Crystal structure
```
Li2MnCo2O6
1.0
4.3851 -2.5738 0.0000
4.3851 2.5738 0.0000
0.0000 0.0000 10.0755
Li Mn Co O
4 2 4 12
Direct
0.1466 0.3534 0.2500 Li
0.3534 0.1466 0.7500 Li
0.6466 0.8534 0.2500 Li
0.8534 0.6466 0.7500 Li
0.0000 0.0000 0.0000 Mn
0.5000 0.5000 0.5000 Mn
0.1628 0.1628 0.5000 Co
0.3372 0.3372 0.0000 Co
0.6628 0.6628 0.0000 Co
0.8372 0.8372 0.5000 Co
0.0162 0.3159 0.8929 O
0.1785 0.8215 0.4024 O
0.1841 0.4838 0.6071 O
0.3159 0.0162 0.1071 O
0.3215 0.6785 0.9024 O
0.4838 0.1841 0.3929 O
0.5162 0.8159 0.6071 O
0.6785 0.3215 0.0976 O
0.6841 0.9838 0.8929 O
0.8159 0.5162 0.3929 O
0.8215 0.1785 0.5976 O
0.9838 0.6841 0.1071 O
```


(3)
Diffraction record for FeTe6O13. The powder XRD pattern is computed, not measured: it uses a crystal structure in the Materials Project, relaxed with GGA+U and CuKα.
Kinematic intensities with the Lorentz-polarization factor, no thermal factor.

Largest 6 diffraction maxima, in order of falling intensity, 2θ from 10° to 90°:
d/Å	intensity
3.207	100
2.783	50
3.236	38
1.962	24
1.975	24
1.677	23

Crystal structure
```
FeTe6O13
1.0
5.1903 2.9966 6.4711
-5.1903 2.9966 6.4711
0.0000 -5.9932 6.4711
Fe Te O
2 12 26
Direct
0.2438 0.2438 0.2438 Fe
0.7562 0.7562 0.7562 Fe
0.0313 0.3235 0.9224 Te
0.0776 0.9687 0.6765 Te
0.1666 0.5573 0.4892 Te
0.3235 0.9224 0.0313 Te
0.4427 0.5108 0.8334 Te
0.4892 0.1666 0.5573 Te
0.5108 0.8334 0.4427 Te
0.5573 0.4892 0.1666 Te
0.6765 0.0776 0.9687 Te
0.8334 0.4427 0.5108 Te
0.9224 0.0313 0.3235 Te
0.9687 0.6765 0.0776 Te
0.0436 0.1362 0.3854 O
0.1008 0.3992 0.4199 O
0.1127 0.7989 0.8747 O
0.1253 0.8873 0.2012 O
0.1362 0.3854 0.0436 O
0.1974 0.4439 0.7006 O
0.2012 0.1253 0.8873 O
0.2994 0.8026 0.5561 O
0.3854 0.0436 0.1362 O
0.3992 0.4199 0.1008 O
0.4116 0.4116 0.4116 O
0.4199 0.1008 0.3992 O
0.4439 0.7006 0.1974 O
0.5561 0.2995 0.8026 O
0.5801 0.8992 0.6008 O
0.5884 0.5884 0.5884 O
0.6008 0.5801 0.8992 O
0.6146 0.9564 0.8638 O
0.7006 0.1974 0.4439 O
0.7988 0.8747 0.1127 O
0.8026 0.5561 0.2994 O
0.8638 0.6146 0.9564 O
0.8747 0.1127 0.7988 O
0.8873 0.2012 0.1253 O
0.8992 0.6008 0.5801 O
0.9564 0.8638 0.6146 O
```


(4)
Diffraction record for Rb2Pr2MgW4O16. The powder XRD pattern is computed, not measured: it uses a crystal structure in the Materials Project, relaxed with GGA+U and CuKα.
Kinematic intensities with the Lorentz-polarization factor, no thermal factor.

Largest 6 diffraction maxima, in order of falling intensity, 2θ from 10° to 90°:
d/Å	intensity
3.171	100
3.322	95
2.028	36
2.843	32
2.895	32
5.789	24

Crystal structure
```
Rb2Pr2MgW4O16
1.0
5.4138 -5.7890 0.0000
5.4138 5.7890 0.0000
-5.0280 0.0000 5.6869
Rb Pr Mg W O
2 2 1 4 16
Direct
0.0000 0.0000 0.0000 Rb
0.5212 0.4788 0.5000 Rb
0.0312 0.9688 0.5000 Pr
0.5455 0.4545 0.0000 Pr
0.7719 0.2281 0.5000 Mg
0.0629 0.5260 0.5357 W
0.0855 0.5057 0.0407 W
0.4740 0.9371 0.4643 W
0.4943 0.9145 0.9593 W
0.1347 0.4614 0.2854 O
0.1453 0.7934 0.2488 O
0.1571 0.2902 0.8829 O
0.2066 0.8547 0.7512 O
0.3525 0.5945 0.7773 O
0.3920 0.1454 0.6179 O
0.4055 0.6475 0.2227 O
0.4621 0.0216 0.2427 O
0.5386 0.8653 0.7146 O
0.5841 0.1910 0.0914 O
0.7098 0.8429 0.1171 O
0.7581 0.0140 0.5759 O
0.8090 0.4159 0.9086 O
0.8546 0.6080 0.3821 O
0.9784 0.5379 0.7573 O
0.9860 0.2419 0.4241 O
```


(5)
Diffraction record for NaCrF6. The powder XRD pattern is computed, not measured: it uses a crystal structure in the Materials Project, relaxed with GGA+U and CuKα.
Kinematic intensities with the Lorentz-polarization factor, no thermal factor.

Largest 6 diffraction maxima, in order of falling intensity, 2θ from 10° to 90°:
d/Å	intensity
3.923	100
4.440	36
2.353	34
1.799	29
2.864	17
4.838	17

Crystal structure
```
NaCrF6
1.0
2.6923 1.5544 4.8380
-2.6923 1.5544 4.8380
0.0000 -3.1088 4.8380
Na Cr F
1 1 6
Direct
0.0000 0.0000 0.0000 Na
0.5000 0.5000 0.5000 Cr
0.1688 0.4015 0.7135 F
0.2865 0.8312 0.5985 F
0.4015 0.7135 0.1688 F
0.5985 0.2865 0.8312 F
0.7135 0.1688 0.4015 F
0.8312 0.5985 0.2865 F
```